Starting from the PBE geometry in Alexandria, the PXRD pattern of Ho6S5 was calculated for Cu Kα X-rays.
Peak positions follow from Bragg's law for the DFT cell and can differ from measured ones.

Principal peaks in the range 2θ = 10–90°, in order of rising 2θ:
Position (°2θ)  Rel. int.
28.27  24
28.38  72
32.85  100
47.07  36
47.17  24
55.89  27
58.71  19
78.39  16

Cell and atoms:
Cell: 6.6688 6.6688 6.6799 Å, 99.66 99.66 119.71°
Sites, in units of the cell vectors:
Ho  0.0822  0.4181  0.7500
Ho  0.2490  0.2490  0.2563
Ho  0.4181  0.0822  0.7500
Ho  0.5819  0.9178  0.2500
Ho  0.7510  0.7510  0.7437
Ho  0.9178  0.5819  0.2500
S  0.0000  0.0000  0.5000
S  0.1654  0.8346  0.0000
S  0.3308  0.6692  0.5000
S  0.6692  0.3308  0.5000
S  0.8346  0.1654  0.0000

=====

Starting from the PBE geometry in Alexandria, the PXRD pattern of SnHRh3 was calculated for Cu Kα X-rays.
Peak positions follow from Bragg's law for the DFT cell and can differ from measured ones.

Principal peaks in the range 2θ = 10–90°, in order of rising 2θ:
Position (°2θ)  Rel. int.
38.54  100
39.23  97
44.80  66
46.01  31
66.16  51
77.94  24
79.26  24
80.14  12

Cell and atoms:
Cell: 6.4491 6.4491 3.9454 Å, 90.00 90.00 128.05°
Sites, in units of the cell vectors:
Sn  0.1349  0.8651  0.0000
Sn  0.8651  0.1349  0.0000
H  0.3785  0.6215  0.5000
H  0.6215  0.3785  0.5000
Rh  0.0000  0.5000  0.5000
Rh  0.2489  0.2489  0.5000
Rh  0.3758  0.6242  0.0000
Rh  0.5000  0.0000  0.5000
Rh  0.6242  0.3758  0.0000
Rh  0.7511  0.7511  0.5000

=====

Starting from the PBE geometry in Alexandria, the PXRD pattern of TbY5Ir6 was calculated for Cu Kα X-rays.
Peak positions follow from Bragg's law for the DFT cell and can differ from measured ones.

Principal peaks in the range 2θ = 10–90°, in order of rising 2θ:
Position (°2θ)  Rel. int.
26.54  10
36.64  100
37.88  46
50.86  10
54.65  16
65.13  19
67.59  25
77.89  11

Cell and atoms:
Cell: 4.7470 7.1819 7.5103 Å, 90.00 108.34 90.00°
Sites, in units of the cell vectors:
Tb  0.0000  0.0000  0.0000
Y  0.0000  0.5000  0.0000
Y  0.3332  0.0000  0.6664
Y  0.3332  0.5000  0.6664
Y  0.6668  0.0000  0.3336
Y  0.6668  0.5000  0.3336
Ir  0.1665  0.2498  0.3331
Ir  0.1665  0.7502  0.3331
Ir  0.5000  0.2499  0.0000
Ir  0.5000  0.7501  0.0000
Ir  0.8335  0.2498  0.6669
Ir  0.8335  0.7502  0.6669

=====

Starting from the PBE geometry in Alexandria, the PXRD pattern of KTc4Se7 was calculated for Cu Kα X-rays.
Peak positions follow from Bragg's law for the DFT cell and can differ from measured ones.

Principal peaks in the range 2θ = 10–90°, in order of rising 2θ:
Position (°2θ)  Rel. int.
11.87  100
12.90  44
26.55  52
28.46  29
29.82  57
37.96  82
42.71  36
46.94  67

Cell and atoms:
Cell: 4.7407 14.9109 7.7326 Å, 90.00 90.00 90.00°
Sites, in units of the cell vectors:
K  0.2500  0.2500  0.2403
K  0.7500  0.7500  0.7597
Tc  0.2500  0.5172  0.7148
Tc  0.2500  0.6058  0.2811
Tc  0.2500  0.8942  0.2811
Tc  0.2500  0.9828  0.7148
Tc  0.7500  0.0172  0.2852
Tc  0.7500  0.1058  0.7189
Tc  0.7500  0.3942  0.7189
Tc  0.7500  0.4828  0.2852
Se  0.2500  0.0467  0.3983
Se  0.2500  0.1303  0.8320
Se  0.2500  0.3697  0.8320
Se  0.2500  0.4533  0.3983
Se  0.2500  0.6139  0.9544
Se  0.2500  0.7500  0.4267
Se  0.2500  0.8861  0.9544
Se  0.7500  0.1139  0.0456
Se  0.7500  0.2500  0.5733
Se  0.7500  0.3861  0.0456
Se  0.7500  0.5467  0.6017
Se  0.7500  0.6303  0.1680
Se  0.7500  0.8697  0.1680
Se  0.7500  0.9533  0.6017

=====

Starting from the PBE geometry in Alexandria, the PXRD pattern of NdDy3Y8 was calculated for Cu Kα X-rays.
Peak positions follow from Bragg's law for the DFT cell and can differ from measured ones.

Principal peaks in the range 2θ = 10–90°, in order of rising 2θ:
Position (°2θ)  Rel. int.
28.23  24
31.52  24
32.41  100
42.81  15
49.97  19
56.69  20
60.28  22
60.83  16

Cell and atoms:
Cell: 8.4962 8.4962 8.4962 Å, 99.81 96.14 136.28°
Sites, in units of the cell vectors:
Nd  0.0000  0.0000  0.0000
Dy  0.0768  0.3280  0.7489
Dy  0.4997  0.9997  0.5000
Dy  0.5791  0.3280  0.2511
Y  0.0818  0.6643  0.0856
Y  0.0818  0.9962  0.4174
Y  0.4972  0.3306  0.8334
Y  0.4972  0.6638  0.1666
Y  0.5787  0.6643  0.5826
Y  0.5787  0.9962  0.9144
Y  0.9965  0.3317  0.3352
Y  0.9965  0.6613  0.6648

=====

Starting from the PBE geometry in Alexandria, the PXRD pattern of LaPr2AuN was calculated for Cu Kα X-rays.
Peak positions follow from Bragg's law for the DFT cell and can differ from measured ones.

Principal peaks in the range 2θ = 10–90°, in order of rising 2θ:
Position (°2θ)  Rel. int.
29.66  31
30.87  100
35.37  27
36.02  29
39.04  15
51.37  21
54.39  10
60.69  22

Cell and atoms:
Cell: 7.1161 7.1161 7.1161 Å, 120.58 120.58 88.99°
Sites, in units of the cell vectors:
La  0.2500  0.2500  0.0000
La  0.7500  0.7500  0.0000
Pr  0.1837  0.6837  0.8673
Pr  0.3163  0.1837  0.5000
Pr  0.6837  0.8163  0.5000
Pr  0.8163  0.3163  0.1327
Au  0.2500  0.7500  0.5000
Au  0.7500  0.2500  0.5000
N  0.0000  0.0000  0.0000
N  0.5000  0.5000  0.0000